No. 1
Structure and calculated powder X-ray diffraction pattern of BaMg6Bi (a crystal structure in the Materials Project, relaxed with GGA-PBE; Cu Ka).

The 8 most intense peaks (2θ = 10–80°), in order of rising 2θ:
- 14.4 deg, intensity 732
- 16.2 deg, intensity 610
- 21.8 deg, intensity 671
- 30.2 deg, intensity 425
- 32.8 deg, intensity 342
- 33.5 deg, intensity 529
- 34.4 deg, intensity 1000
- 45.1 deg, intensity 283

Crystal structure
a b c (Å): 5.4625 6.7670 12.2732
angles (deg): 90.00 90.00 90.00
Space group Amm2 (No. 38)
Symmetry-distinct sites (fractional):
Ba 0.0000 0.0000 0.0000 [2 per cell]
Mg 0.0000 0.2467 0.2487 [4 per cell]
Mg 0.5000 0.0000 0.1770 [2 per cell]
Mg 0.5000 0.0000 0.6688 [2 per cell]
Mg 0.5000 0.2374 0.4058 [4 per cell]
Bi 0.0000 0.0000 0.4944 [2 per cell]

No. 2
Structure and calculated powder X-ray diffraction pattern of BaMg6Bi (a crystal structure in the Materials Project, relaxed with GGA-PBE; Cu Ka).

The 8 most intense peaks (2θ = 10–80°), in order of rising 2θ:
- 14.2 deg, intensity 1000
- 22.3 deg, intensity 390
- 22.4 deg, intensity 459
- 24.6 deg, intensity 210
- 30.5 deg, intensity 464
- 33.6 deg, intensity 867
- 34.0 deg, intensity 324
- 34.5 deg, intensity 258

Crystal structure
a b c (Å): 5.2015 7.2268 12.2341
angles (deg): 90.00 90.00 90.00
Space group Amm2 (No. 38)
Symmetry-distinct sites (fractional):
Ba 0.0000 0.0000 0.0000 [2 per cell]
Mg 0.0000 0.0000 0.5132 [2 per cell]
Mg 0.0000 0.2492 0.2476 [4 per cell]
Mg 0.5000 0.0000 0.3386 [2 per cell]
Mg 0.5000 0.2156 0.5978 [4 per cell]
Bi 0.5000 0.0000 0.8172 [2 per cell]

No. 3
Structure and calculated powder X-ray diffraction pattern of Ba4MgBi3O12 (a crystal structure in the Materials Project, relaxed with GGA-PBE; Cu Ka).

The 8 most intense peaks (2θ = 10–80°), in order of rising 2θ:
- 14.5 deg, intensity 135
- 25.3 deg, intensity 77
- 29.2 deg, intensity 1000
- 41.8 deg, intensity 291
- 51.9 deg, intensity 421
- 60.6 deg, intensity 188
- 68.7 deg, intensity 187
- 76.4 deg, intensity 63

Crystal structure
a b c (Å): 8.6380 8.6380 8.6380
angles (deg): 90.00 90.00 90.00
Space group Im-3m (No. 229)
Symmetry-distinct sites (fractional):
Ba 0.2500 0.2500 0.2500 [8 per cell]
Mg 0.0000 0.0000 0.0000 [2 per cell]
Bi 0.0000 0.0000 0.5000 [6 per cell]
O 0.0000 0.0000 0.2526 [12 per cell]
O 0.0000 0.2500 0.5000 [12 per cell]

No. 4
Structure and calculated powder X-ray diffraction pattern of BaMnBi2 (a crystal structure in the Materials Project, relaxed with GGA-PBE; Cu Ka).

The 8 most intense peaks (2θ = 10–80°), in order of rising 2θ:
- 22.5 deg, intensity 247
- 26.5 deg, intensity 715
- 27.5 deg, intensity 583
- 30.5 deg, intensity 1000
- 37.8 deg, intensity 601
- 40.6 deg, intensity 319
- 46.8 deg, intensity 303
- 63.8 deg, intensity 245

Crystal structure
a b c (Å): 4.7624 4.7624 23.6884
angles (deg): 90.00 90.00 90.00
Space group I4/mmm (No. 139)
Symmetry-distinct sites (fractional):
Ba 0.0000 0.0000 0.1191 [4 per cell]
Mn 0.0000 0.5000 0.2500 [4 per cell]
Bi 0.0000 0.0000 0.3164 [4 per cell]
Bi 0.0000 0.5000 0.0000 [4 per cell]

No. 5
Structure and calculated powder X-ray diffraction pattern of BaNaBi (a crystal structure in the Materials Project, relaxed with GGA-PBE; Cu Ka).

The 8 most intense peaks (2θ = 10–80°), in order of rising 2θ:
- 20.3 deg, intensity 548
- 20.8 deg, intensity 371
- 26.7 deg, intensity 521
- 29.2 deg, intensity 1000
- 35.6 deg, intensity 352
- 35.9 deg, intensity 403
- 50.6 deg, intensity 264
- 55.8 deg, intensity 257

Crystal structure
a b c (Å): 8.7416 8.7416 5.1679
angles (deg): 90.00 90.00 120.00
Space group P-62m (No. 189)
Symmetry-distinct sites (fractional):
Ba 0.0000 0.4176 0.0000 [3 per cell]
Na 0.0000 0.7600 0.5000 [3 per cell]
Bi 0.0000 0.0000 0.0000 [1 per cell]
Bi 0.3333 0.6667 0.5000 [2 per cell]

No. 6
Structure and calculated powder X-ray diffraction pattern of BaNaNbBiO6 (a crystal structure in the Materials Project, relaxed with GGA-PBE; Cu Ka).

The 8 most intense peaks (2θ = 10–80°), in order of rising 2θ:
- 14.8 deg, intensity 117
- 18.2 deg, intensity 113
- 21.0 deg, intensity 142
- 29.9 deg, intensity 1000
- 42.8 deg, intensity 206
- 53.1 deg, intensity 281
- 53.2 deg, intensity 139
- 62.3 deg, intensity 126

Crystal structure
a b c (Å): 8.4196 8.4455 8.4602
angles (deg): 90.00 90.00 90.00
Space group Pnnn (No. 48, origin choice 2)
Symmetry-distinct sites (fractional):
Ba 0.2500 0.2500 0.2500 [2 per cell]
Ba 0.2500 0.7500 0.2500 [2 per cell]
Na 0.2500 0.2500 0.7500 [2 per cell]
Na 0.2500 0.7500 0.7500 [2 per cell]
Nb 0.0000 0.0000 0.0000 [4 per cell]
Bi 0.0000 0.0000 0.5000 [4 per cell]
O 0.0107 0.0199 0.7638 [8 per cell]
O 0.0186 0.7361 0.5194 [8 per cell]
O 0.2366 0.0151 0.0221 [8 per cell]